Entry 1:
Calculated X-ray diffraction stick pattern
Compound: Co3O2F4
Radiation: copper Kα
Structure: a crystal structure in the Materials Project, relaxed with GGA+U
Kinematic intensities with the Lorentz-polarization factor, no thermal factor.

The 8 most intense peaks (2θ from 10° to 90°), sorted by position:
2θ (°)	I/Imax
26.50	100.0
27.61	93.2
34.62	59.8
34.80	27.9
35.00	25.9
52.16	32.5
53.27	29.5
67.17	20.5

Cell: 4.6767 5.6223 7.7045 Å, 87.04 88.42 88.22°
Positions (direct):
Co 0.0000 0.0000 0.0000
Co 0.0006 0.3059 0.6310
Co 0.4607 0.8438 0.6766
Co 0.5017 0.4875 0.9903
Co 0.5170 0.1679 0.3307
Co 0.9800 0.6482 0.3296
O 0.2957 0.7855 0.9069
O 0.3126 0.1289 0.5497
O 0.6945 0.2029 0.0976
O 0.7932 0.3510 0.4232
F 0.1882 0.2901 0.8800
F 0.1961 0.6183 0.5604
F 0.2113 0.9687 0.2349
F 0.2922 0.4597 0.2218
F 0.6895 0.8553 0.4369
F 0.7041 0.5224 0.7566
F 0.7968 0.7036 0.0970
F 0.8016 0.0246 0.7583

---

Entry 2:
Calculated X-ray diffraction stick pattern
Compound: Li5Mo2P5O18
Radiation: copper Kα
Structure: a crystal structure in the Materials Project, relaxed with GGA+U
Kinematic intensities with the Lorentz-polarization factor, no thermal factor.

The 8 most intense peaks (2θ from 10° to 90°), sorted by position:
2θ (°)	I/Imax
11.87	100.0
18.43	79.1
19.98	92.8
26.60	97.2
26.94	58.7
27.44	60.5
28.43	59.7
29.40	47.0

Cell: 6.6263 9.3369 10.9127 Å, 96.15 92.34 91.01°
Positions (direct):
Li 0.0122 0.4434 0.1339
Li 0.1264 0.7207 0.6620
Li 0.1785 0.3760 0.6400
Li 0.3475 0.8778 0.8600
Li 0.4450 0.2229 0.4090
Li 0.5550 0.7771 0.5910
Li 0.6525 0.1222 0.1400
Li 0.8215 0.6240 0.3600
Li 0.8736 0.2793 0.3380
Li 0.9878 0.5566 0.8661
Mo 0.2297 0.8568 0.4000
Mo 0.3329 0.2684 0.9469
Mo 0.6671 0.7316 0.0531
Mo 0.7703 0.1432 0.6000
P 0.1640 0.0808 0.1737
P 0.1693 0.7703 0.0992
P 0.2219 0.5080 0.4028
P 0.2788 0.0822 0.6536
P 0.4878 0.5546 0.7938
P 0.5122 0.4454 0.2062
P 0.7212 0.9178 0.3464
P 0.7781 0.4920 0.5972
P 0.8307 0.2297 0.9008
P 0.8360 0.9192 0.8263
O 0.0099 0.3312 0.9516
O 0.0114 0.8174 0.8182
O 0.0328 0.4839 0.3167
O 0.0691 0.9265 0.1080
O 0.0910 0.1738 0.6312
O 0.2188 0.6549 0.4846
O 0.2369 0.9225 0.6005
O 0.2475 0.7420 0.2255
O 0.2583 0.0531 0.3011
O 0.2635 0.3807 0.4739
O 0.3229 0.4472 0.8279
O 0.3285 0.1165 0.0843
O 0.3327 0.0899 0.7944
O 0.3383 0.4234 0.1066
O 0.3455 0.7644 0.0114
O 0.4018 0.6916 0.7498
O 0.4190 0.5314 0.3240
O 0.4492 0.1449 0.5800
O 0.5508 0.8551 0.4200
O 0.5810 0.4686 0.6760
O 0.5982 0.3084 0.2502
O 0.6545 0.2356 0.9886
O 0.6617 0.5766 0.8934
O 0.6673 0.9101 0.2056
O 0.6715 0.8835 0.9157
O 0.6771 0.5528 0.1721
O 0.7365 0.6193 0.5261
O 0.7417 0.9469 0.6989
O 0.7525 0.2580 0.7745
O 0.7631 0.0775 0.3995
O 0.7812 0.3451 0.5154
O 0.9090 0.8262 0.3688
O 0.9309 0.0735 0.8920
O 0.9672 0.5161 0.6833
O 0.9886 0.1826 0.1818
O 0.9901 0.6688 0.0484

---

Entry 3:
Calculated X-ray diffraction stick pattern
Compound: Tl3Co3O8
Radiation: copper Kα
Structure: a crystal structure in the Materials Project, relaxed with GGA+U
Kinematic intensities with the Lorentz-polarization factor, no thermal factor.

The 8 most intense peaks (2θ from 10° to 90°), sorted by position:
2θ (°)	I/Imax
22.42	34.1
23.56	33.2
32.12	100.0
32.75	96.0
32.94	92.7
40.22	38.6
57.54	32.8
59.10	35.5

Cell: 5.5687 5.5812 11.3291 Å, 90.00 89.99 89.31°
Positions (direct):
Tl 0.0000 0.0000 0.0000
Tl 0.9997 0.0006 0.3584
Tl 0.0097 0.8926 0.6763
Tl 0.4694 0.4985 0.9998
Tl 0.4686 0.4978 0.3582
Tl 0.4712 0.3995 0.6799
Co 0.4919 0.9465 0.8497
Co 0.5013 0.9488 0.5118
Co 0.5353 0.0055 0.1811
Co 0.9351 0.5051 0.1772
Co 0.9760 0.4492 0.8484
Co 0.9791 0.4458 0.5078
O 0.0844 0.3957 0.0290
O 0.0878 0.3943 0.3230
O 0.1676 0.1507 0.8115
O 0.1862 0.1375 0.5440
O 0.2865 0.6432 0.8138
O 0.2990 0.6447 0.5467
O 0.3852 0.8937 0.0344
O 0.3877 0.8973 0.3302
O 0.6039 0.0078 0.6735
O 0.6067 0.3584 0.1778
O 0.6859 0.2354 0.4557
O 0.6866 0.2403 0.8962
O 0.7805 0.7437 0.4597
O 0.7924 0.7320 0.9003
O 0.8658 0.8589 0.1791
O 0.8665 0.5097 0.6820

---

Entry 4:
Calculated X-ray diffraction stick pattern
Compound: Zr4Ni2O
Radiation: copper Kα
Structure: a crystal structure in the Materials Project, relaxed with GGA+U
Kinematic intensities with the Lorentz-polarization factor, no thermal factor.

The 8 most intense peaks (2θ from 10° to 90°), sorted by position:
2θ (°)	I/Imax
31.55	19.4
35.58	39.5
37.82	100.0
41.31	30.3
51.20	6.0
63.90	34.9
65.38	10.7
76.71	17.8

Cell: 8.7412 8.7412 8.7412 Å, 60.00 60.00 60.00°
Positions (direct):
Zr 0.0000 0.0000 0.0000
Zr 0.0000 0.0000 0.5000
Zr 0.0000 0.5000 0.0000
Zr 0.1924 0.1924 0.5576
Zr 0.1924 0.5576 0.1924
Zr 0.1924 0.5576 0.5576
Zr 0.4424 0.4424 0.8076
Zr 0.4424 0.8076 0.4424
Zr 0.4424 0.8076 0.8076
Zr 0.5000 0.0000 0.0000
Zr 0.5576 0.1924 0.1924
Zr 0.5576 0.1924 0.5576
Zr 0.5576 0.5576 0.1924
Zr 0.8076 0.4424 0.4424
Zr 0.8076 0.4424 0.8076
Zr 0.8076 0.8076 0.4424
Ni 0.1428 0.7857 0.7857
Ni 0.2143 0.2143 0.2143
Ni 0.2143 0.2143 0.8572
Ni 0.2143 0.8572 0.2143
Ni 0.7857 0.1428 0.7857
Ni 0.7857 0.7857 0.1428
Ni 0.7857 0.7857 0.7857
Ni 0.8572 0.2143 0.2143
O 0.0000 0.5000 0.5000
O 0.5000 0.0000 0.5000
O 0.5000 0.5000 0.0000
O 0.5000 0.5000 0.5000